This entry pairs a crystal structure of PaMn2CoO6 with its theoretical powder X-ray diffraction pattern. Radiation: Cu Kα X-rays. Structure: the GGA+U geometry in Alexandria.
Kinematic intensities with the Lorentz-polarization factor, no thermal factor.

Peak list (10 most intense, 5° ≤ 2θ ≤ 70°, low angle first)
| (hkl) | d (Å) | 2θ/deg | I/Imax |
| --- | --- | --- | --- |
| 0 1 1 | 4.488 | 19.78 | 59.4 |
| 0 1 0 | 4.101 | 21.67 | 65.4 |
| 1 1 1 | 3.906 | 22.76 | 63.3 |
| 1 0 -1 | 3.866 | 23.01 | 61.6 |
| 1 0 1 | 2.958 | 30.21 | 100.0 |
| 1 1 -1 | 2.861 | 31.27 | 86.8 |
| 0 1 2 | 2.838 | 31.52 | 77.7 |
| -1 1 1 | 2.767 | 32.35 | 84.5 |
| 1 2 1 | 2.714 | 33.00 | 74.6 |
| 2 1 0 | 2.665 | 33.63 | 69.4 |

Cell and atoms:
```
data_PaMn2CoO6
_chemical_formula_sum 'Pa1 Mn2 Co1 O6'
_cell_length_a 5.3343
_cell_length_b 5.4360
_cell_length_c 5.6984
_cell_angle_alpha 62.31
_cell_angle_beta 89.22
_cell_angle_gamma 61.96
_space_group_name_H-M_alt 'P 1'
_space_group_IT_number 1
_space_group_name_Hall 'P 1'
loop_
_atom_site_label
_atom_site_fract_x
_atom_site_fract_y
_atom_site_fract_z
Pa1 0.0000 0.0000 0.0000
Mn1 0.2844 0.4363 0.8506
Mn2 0.7837 0.4234 0.3813
Co1 0.4973 0.0035 0.4881
O1 0.0600 0.5145 0.1806
O2 0.2163 0.8995 0.7058
O3 0.3988 0.9173 0.1866
O4 0.6024 0.2166 0.6667
O5 0.6964 0.2329 0.1929
O6 0.8927 0.5090 0.6624
```